No. 1
The following is a computed powder diffraction line list of TiAuI4. It was derived from the PBE geometry in Alexandria, using Cu Kα (weighted mean of Kα1 and Kα2).

Cell and atoms:
```
data_TiAuI4
_chemical_formula_sum 'Ti2 Au2 I8'
_symmetry_space_group_name_H-M 'I -4'
_symmetry_Int_Tables_number 82
_symmetry_space_group_name_Hall 'I -4'
_cell_length_a 6.5444
_cell_length_b 6.5444
_cell_length_c 12.2067
_cell_angle_alpha 90.00
_cell_angle_beta 90.00
_cell_angle_gamma 90.00
loop_
_atom_site_label
_atom_site_fract_x
_atom_site_fract_y
_atom_site_fract_z
Ti1 0.0000 0.0000 0.0000
Au1 0.0000 0.5000 0.7500
I1 0.2317 0.2398 0.1223
```

Most intense lines, 2θ = 5–70°, most intense first:
| hkl | two_theta | d (Å) | I (rel.) |
| --- | --- | --- | --- |
| 1 1 2 | 24.13 | 3.687 | 1000 |
| 2 0 4 | 40.42 | 2.232 | 450 |
| 1 0 1 | 15.36 | 5.768 | 379 |
| 3 1 2 | 46.33 | 1.960 | 322 |
| 2 2 0 | 38.92 | 2.314 | 245 |
| 1 2 1 | 31.43 | 2.846 | 155 |
| 1 1 6 | 48.90 | 1.862 | 144 |
| 3 1 6 | 64.20 | 1.451 | 126 |
| 1 0 3 | 25.78 | 3.455 | 117 |
| 2 1 3 | 37.87 | 2.376 | 93 |
| 4 0 0 | 56.22 | 1.636 | 79 |
| 2 0 0 | 27.25 | 3.272 | 74 |



No. 2
The following is a computed powder diffraction line list of TlAu2I4. It was derived from the PBE geometry in Alexandria, using Cu Kα (weighted mean of Kα1 and Kα2).

Cell and atoms:
```
data_TlAu2I4
_chemical_formula_sum 'Tl2 Au4 I8'
_symmetry_space_group_name_H-M 'P -1'
_symmetry_Int_Tables_number 2
_symmetry_space_group_name_Hall '-P 1'
_cell_length_a 8.3458
_cell_length_b 8.3500
_cell_length_c 10.2817
_cell_angle_alpha 105.06
_cell_angle_beta 105.05
_cell_angle_gamma 111.06
loop_
_atom_site_label
_atom_site_fract_x
_atom_site_fract_y
_atom_site_fract_z
Tl1 0.1250 0.3748 0.2496
Au1 0.0000 0.0000 0.5000
Au2 0.5000 0.0000 0.0000
Au3 0.5000 0.0000 0.5000
Au4 0.5000 0.5000 0.0000
I1 0.1340 0.7612 0.5229
I2 0.2370 0.1097 0.9762
I3 0.2604 0.6328 0.0237
I4 0.3903 0.2633 0.5234
```

Most intense lines, 2θ = 5–70°, most intense first:
| hkl | two_theta | d (Å) | I (rel.) |
| --- | --- | --- | --- |
| 1 2 -1 | 29.50 | 3.028 | 1000 |
| 0 0 2 | 19.43 | 4.568 | 884 |
| 0 1 -2 | 18.49 | 4.798 | 745 |
| -3 2 1 | 34.28 | 2.616 | 617 |
| 0 1 -3 | 26.95 | 3.308 | 553 |
| 0 2 -3 | 30.15 | 2.964 | 528 |
| -2 2 2 | 32.60 | 2.747 | 509 |
| 1 -1 1 | 16.12 | 5.497 | 370 |
| 4 -2 0 | 45.04 | 2.013 | 366 |
| 0 0 4 | 39.45 | 2.284 | 326 |
| 2 -3 4 | 49.05 | 1.857 | 286 |
| 3 0 0 | 37.66 | 2.389 | 216 |



No. 3
The following is a computed powder diffraction line list of Zn3AuI9. It was derived from the PBE geometry in Alexandria, using Cu Kα (weighted mean of Kα1 and Kα2).

Cell and atoms:
```
data_Zn3AuI9
_chemical_formula_sum 'Zn6 Au2 I18'
_symmetry_space_group_name_H-M 'P 1 21/m 1'
_symmetry_Int_Tables_number 11
_symmetry_space_group_name_Hall '-P 2yb'
_cell_length_a 6.9201
_cell_length_b 12.8437
_cell_length_c 13.5870
_cell_angle_alpha 90.00
_cell_angle_beta 99.83
_cell_angle_gamma 90.00
loop_
_atom_site_label
_atom_site_fract_x
_atom_site_fract_y
_atom_site_fract_z
Zn1 0.0000 0.0000 0.0000
Zn2 0.4886 0.0537 0.7771
Au1 0.2049 0.2500 0.5998
I1 0.1773 0.7500 0.0068
I2 0.1993 0.0632 0.1875
I3 0.2575 0.7500 0.2306
I4 0.2663 0.7500 0.4444
I5 0.2683 0.0473 0.6022
I6 0.3021 0.0971 0.9214
```

Most intense lines, 2θ = 5–70°, most intense first:
| hkl | two_theta | d (Å) | I (rel.) |
| --- | --- | --- | --- |
| 0 1 1 | 9.54 | 9.268 | 1000 |
| 1 3 0 | 24.55 | 3.626 | 652 |
| 2 0 0 | 26.14 | 3.409 | 341 |
| 1 0 3 | 25.66 | 3.472 | 310 |
| 1 0 -2 | 16.90 | 5.245 | 294 |
| 1 0 -3 | 21.86 | 4.066 | 280 |
| 0 0 5 | 33.43 | 2.681 | 277 |
| 1 3 1 | 26.04 | 3.422 | 252 |
| 0 1 3 | 21.08 | 4.215 | 219 |
| 1 1 -4 | 28.52 | 3.130 | 216 |
| 2 1 -1 | 26.77 | 3.330 | 185 |
| 2 5 -3 | 46.77 | 1.942 | 182 |



No. 4
The following is a computed powder diffraction line list of In2Au. It was derived from the PBE geometry in Alexandria, using Cu Kα (weighted mean of Kα1 and Kα2).

Cell and atoms:
```
data_In2Au
_chemical_formula_sum 'In2 Au1'
_symmetry_space_group_name_H-M 'P -3 m 1'
_symmetry_Int_Tables_number 164
_symmetry_space_group_name_Hall '-P 3 2"'
_cell_length_a 4.4422
_cell_length_b 4.4422
_cell_length_c 4.4585
_cell_angle_alpha 90.00
_cell_angle_beta 90.00
_cell_angle_gamma 120.00
loop_
_atom_site_label
_atom_site_fract_x
_atom_site_fract_y
_atom_site_fract_z
In1 0.3333 0.6667 0.2851
Au1 0.0000 0.0000 0.0000
```

Most intense lines, 2θ = 5–70°, most intense first:
| hkl | two_theta | d (Å) | I (rel.) |
| --- | --- | --- | --- |
| 0 1 1 | 30.70 | 2.913 | 1000 |
| 1 1 0 | 40.62 | 2.221 | 491 |
| 1 0 2 | 47.12 | 1.929 | 343 |
| 2 0 1 | 51.76 | 1.766 | 230 |
| 1 2 1 | 67.79 | 1.382 | 204 |
| 0 2 2 | 63.92 | 1.456 | 137 |
| 0 0 1 | 19.91 | 4.458 | 112 |
| 1 1 1 | 45.63 | 1.988 | 84 |
| 1 0 0 | 23.12 | 3.847 | 70 |
| 1 0 3 | 67.57 | 1.386 | 48 |
| 0 0 3 | 62.49 | 1.486 | 29 |
| 2 0 0 | 47.25 | 1.924 | 12 |



No. 5
The following is a computed powder diffraction line list of InAu3. It was derived from the PBE geometry in Alexandria, using Cu Kα (weighted mean of Kα1 and Kα2).

Cell and atoms:
```
data_InAu3
_chemical_formula_sum 'In2 Au6'
_symmetry_space_group_name_H-M 'C m m m'
_symmetry_Int_Tables_number 65
_symmetry_space_group_name_Hall '-C 2 2'
_cell_length_a 5.0457
_cell_length_b 5.3880
_cell_length_c 5.7589
_cell_angle_alpha 90.00
_cell_angle_beta 90.00
_cell_angle_gamma 90.00
loop_
_atom_site_label
_atom_site_fract_x
_atom_site_fract_y
_atom_site_fract_z
In1 0.0000 0.0000 0.0000
Au1 0.0000 0.0000 0.5000
Au2 0.0000 0.5000 0.2515
```

Most intense lines, 2θ = 5–70°, most intense first:
| hkl | two_theta | d (Å) | I (rel.) |
| --- | --- | --- | --- |
| 1 1 2 | 39.74 | 2.268 | 1000 |
| 0 2 0 | 33.26 | 2.694 | 404 |
| 2 0 0 | 35.59 | 2.523 | 338 |
| 2 2 0 | 49.50 | 1.841 | 267 |
| 1 3 2 | 63.80 | 1.459 | 250 |
| 3 1 2 | 66.70 | 1.402 | 219 |
| 0 0 4 | 64.75 | 1.440 | 60 |
| 0 4 0 | 69.82 | 1.347 | 48 |
| 0 0 1 | 15.39 | 5.759 | 33 |
| 1 1 1 | 28.77 | 3.103 | 27 |
| 1 1 0 | 24.17 | 3.683 | 22 |
| 0 2 1 | 36.83 | 2.440 | 9 |



No. 6
The following is a computed powder diffraction line list of In3Au10. It was derived from the PBE geometry in Alexandria, using Cu Kα (weighted mean of Kα1 and Kα2).

Cell and atoms:
```
data_In3Au10
_chemical_formula_sum 'In6 Au20'
_symmetry_space_group_name_H-M 'P 63/m'
_symmetry_Int_Tables_number 176
_symmetry_space_group_name_Hall '-P 6c'
_cell_length_a 10.8921
_cell_length_b 10.8921
_cell_length_c 4.7824
_cell_angle_alpha 90.00
_cell_angle_beta 90.00
_cell_angle_gamma 120.00
loop_
_atom_site_label
_atom_site_fract_x
_atom_site_fract_y
_atom_site_fract_z
In1 0.1037 0.3617 0.2500
Au1 0.0246 0.5896 0.2500
Au2 0.0514 0.1785 0.7500
Au3 0.2067 0.7192 0.7500
Au4 0.3333 0.6667 0.2500
```

Most intense lines, 2θ = 5–70°, most intense first:
| hkl | two_theta | d (Å) | I (rel.) |
| --- | --- | --- | --- |
| 3 1 1 | 39.25 | 2.295 | 1000 |
| 0 0 2 | 37.62 | 2.391 | 250 |
| 3 1 0 | 34.28 | 2.616 | 247 |
| 3 1 3 | 68.99 | 1.361 | 193 |
| 2 5 0 | 61.38 | 1.510 | 182 |
| 3 1 2 | 51.80 | 1.765 | 155 |
| 1 1 1 | 24.78 | 3.594 | 16 |
| 2 0 1 | 26.54 | 3.358 | 15 |
| 1 1 0 | 16.28 | 5.446 | 10 |
| 1 2 0 | 24.98 | 3.565 | 9 |
| 1 0 1 | 20.83 | 4.266 | 5 |



No. 7
The following is a computed powder diffraction line list of InAu3. It was derived from the PBE geometry in Alexandria, using Cu Kα (weighted mean of Kα1 and Kα2).

Cell and atoms:
```
data_InAu3
_chemical_formula_sum 'In6 Au18'
_symmetry_space_group_name_H-M 'R -3 m'
_symmetry_Int_Tables_number 166
_symmetry_space_group_name_Hall '-R 3 2"'
_cell_length_a 7.3287
_cell_length_b 7.3287
_cell_length_c 10.7119
_cell_angle_alpha 90.00
_cell_angle_beta 90.00
_cell_angle_gamma 120.00
loop_
_atom_site_label
_atom_site_fract_x
_atom_site_fract_y
_atom_site_fract_z
In1 0.0000 0.0000 0.1612
Au1 0.0707 0.5353 0.2785
```

Most intense lines, 2θ = 5–70°, most intense first:
| hkl | two_theta | d (Å) | I (rel.) |
| --- | --- | --- | --- |
| 2 0 2 | 32.80 | 2.730 | 1000 |
| 2 1 1 | 38.46 | 2.341 | 700 |
| 0 3 3 | 50.12 | 1.820 | 485 |
| 1 0 4 | 36.41 | 2.467 | 341 |
| 3 0 6 | 68.80 | 1.364 | 203 |
| 2 2 0 | 49.77 | 1.832 | 201 |
| 1 1 3 | 35.09 | 2.557 | 196 |
| 1 2 2 | 41.24 | 2.189 | 161 |
| 0 1 5 | 44.64 | 2.030 | 160 |
| 0 2 7 | 68.01 | 1.378 | 142 |
| 0 2 4 | 44.26 | 2.047 | 137 |
| 3 2 1 | 64.60 | 1.443 | 120 |



No. 8
The following is a computed powder diffraction line list of InAu5. It was derived from the PBE geometry in Alexandria, using Cu Kα (weighted mean of Kα1 and Kα2).

Cell and atoms:
```
data_InAu5
_chemical_formula_sum 'In4 Au20'
_symmetry_space_group_name_H-M 'C m m e'
_symmetry_Int_Tables_number 67
_symmetry_space_group_name_Hall '-C 2a 2'
_cell_length_a 5.8364
_cell_length_b 8.9358
_cell_length_c 8.6066
_cell_angle_alpha 90.00
_cell_angle_beta 90.00
_cell_angle_gamma 90.00
loop_
_atom_site_label
_atom_site_fract_x
_atom_site_fract_y
_atom_site_fract_z
In1 0.0000 0.2500 0.1688
Au1 0.0000 0.2500 0.5013
Au2 0.0000 0.2500 0.8325
Au3 0.2500 0.0000 0.0000
Au4 0.2500 0.0000 0.3344
```

Most intense lines, 2θ = 5–70°, most intense first:
| hkl | two_theta | d (Å) | I (rel.) |
| --- | --- | --- | --- |
| 2 2 0 | 36.79 | 2.443 | 1000 |
| 0 2 3 | 37.25 | 2.414 | 967 |
| 2 0 3 | 44.27 | 2.046 | 598 |
| 2 4 3 | 61.46 | 1.509 | 454 |
| 0 4 0 | 40.38 | 2.234 | 388 |
| 4 0 0 | 63.79 | 1.459 | 102 |
| 0 0 6 | 65.02 | 1.434 | 96 |
| 1 1 1 | 20.91 | 4.249 | 32 |
| 1 1 2 | 27.62 | 3.229 | 15 |
| 0 0 1 | 10.28 | 8.607 | 14 |
| 0 2 0 | 19.87 | 4.468 | 11 |
| 1 3 1 | 35.40 | 2.535 | 9 |



No. 9
The following is a computed powder diffraction line list of In5Au3. It was derived from the PBE geometry in Alexandria, using Cu Kα (weighted mean of Kα1 and Kα2).

Cell and atoms:
```
data_In5Au3
_chemical_formula_sum 'In20 Au12'
_symmetry_space_group_name_H-M 'P n m a'
_symmetry_Int_Tables_number 62
_symmetry_space_group_name_Hall '-P 2ac 2n'
_cell_length_a 12.7083
_cell_length_b 8.1661
_cell_length_c 7.3832
_cell_angle_alpha 90.00
_cell_angle_beta 90.00
_cell_angle_gamma 90.00
loop_
_atom_site_label
_atom_site_fract_x
_atom_site_fract_y
_atom_site_fract_z
In1 0.0013 0.2500 0.0294
In2 0.1010 0.5389 0.3148
In3 0.1847 0.2500 0.6602
In4 0.2119 0.7500 0.6866
Au1 0.0018 0.2500 0.4343
Au2 0.1798 0.0069 0.9549
```

Most intense lines, 2θ = 5–70°, most intense first:
| hkl | two_theta | d (Å) | I (rel.) |
| --- | --- | --- | --- |
| 2 2 2 | 35.70 | 2.515 | 1000 |
| 1 2 2 | 33.48 | 2.677 | 682 |
| 4 2 0 | 35.82 | 2.507 | 576 |
| 2 2 0 | 25.92 | 3.437 | 554 |
| 5 2 1 | 43.70 | 2.071 | 538 |
| 3 2 1 | 32.79 | 2.731 | 465 |
| 0 4 0 | 44.37 | 2.042 | 427 |
| 4 0 1 | 30.63 | 2.918 | 366 |
| 3 0 1 | 24.22 | 3.674 | 356 |
| 2 2 1 | 28.66 | 3.114 | 231 |
| 6 0 2 | 49.62 | 1.837 | 218 |
| 8 2 2 | 68.26 | 1.374 | 191 |



No. 10
The following is a computed powder diffraction line list of InAu2. It was derived from the PBE geometry in Alexandria, using Cu Kα (weighted mean of Kα1 and Kα2).

Cell and atoms:
```
data_InAu2
_chemical_formula_sum 'In4 Au8'
_symmetry_space_group_name_H-M 'F m -3 m'
_symmetry_Int_Tables_number 225
_symmetry_space_group_name_Hall '-F 4 2 3'
_cell_length_a 6.4916
_cell_length_b 6.4916
_cell_length_c 6.4916
_cell_angle_alpha 90.00
_cell_angle_beta 90.00
_cell_angle_gamma 90.00
loop_
_atom_site_label
_atom_site_fract_x
_atom_site_fract_y
_atom_site_fract_z
In1 0.0000 0.0000 0.0000
Au1 0.2500 0.2500 0.2500
```

Most intense lines, 2θ = 5–70°, most intense first:
| hkl | two_theta | d (Å) | I (rel.) |
| --- | --- | --- | --- |
| 2 2 0 | 39.25 | 2.295 | 1000 |
| 2 0 0 | 27.48 | 3.246 | 371 |
| 4 0 0 | 56.72 | 1.623 | 171 |
| 4 2 0 | 64.16 | 1.452 | 148 |
| 1 1 1 | 23.74 | 3.748 | 129 |
| 2 2 2 | 48.58 | 1.874 | 110 |
| 3 1 1 | 46.39 | 1.957 | 63 |
| 3 3 1 | 62.35 | 1.489 | 25 |



No. 11
The following is a computed powder diffraction line list of InIr2Au. It was derived from the PBE geometry in Alexandria, using Cu Kα (weighted mean of Kα1 and Kα2).

Cell and atoms:
```
data_InIr2Au
_chemical_formula_sum 'In2 Ir4 Au2'
_symmetry_space_group_name_H-M 'I m m 2'
_symmetry_Int_Tables_number 44
_symmetry_space_group_name_Hall 'I 2 -2'
_cell_length_a 2.8563
_cell_length_b 4.7870
_cell_length_c 10.1305
_cell_angle_alpha 90.00
_cell_angle_beta 90.00
_cell_angle_gamma 90.00
loop_
_atom_site_label
_atom_site_fract_x
_atom_site_fract_y
_atom_site_fract_z
In1 0.0000 0.0000 0.0000
Ir1 0.0000 0.0000 0.4599
Ir2 0.0000 0.5000 0.7445
Au1 0.0000 0.5000 0.2220
```

Most intense lines, 2θ = 5–70°, most intense first:
| hkl | two_theta | d (Å) | I (rel.) |
| --- | --- | --- | --- |
| 1 1 2 | 40.88 | 2.208 | 1000 |
| 0 2 0 | 37.58 | 2.394 | 328 |
| 0 0 4 | 35.44 | 2.533 | 326 |
| 0 2 4 | 52.61 | 1.740 | 213 |
| 1 1 6 | 67.33 | 1.391 | 165 |
| 2 0 0 | 65.34 | 1.428 | 66 |
| 0 1 1 | 20.52 | 4.328 | 65 |
| 0 1 5 | 48.81 | 1.866 | 40 |
| 0 0 2 | 17.51 | 5.065 | 36 |
| 0 1 3 | 32.45 | 2.759 | 33 |
| 1 0 3 | 41.40 | 2.181 | 33 |
| 1 2 3 | 57.14 | 1.612 | 27 |



No. 12
The following is a computed powder diffraction line list of K5In2Au5. It was derived from the PBE geometry in Alexandria, using Cu Kα (weighted mean of Kα1 and Kα2).

Cell and atoms:
```
data_K5In2Au5
_chemical_formula_sum 'K10 In4 Au10'
_symmetry_space_group_name_H-M 'C 1 2/m 1'
_symmetry_Int_Tables_number 12
_symmetry_space_group_name_Hall '-C 2y'
_cell_length_a 16.9246
_cell_length_b 4.7858
_cell_length_c 12.7279
_cell_angle_alpha 90.00
_cell_angle_beta 131.58
_cell_angle_gamma 90.00
loop_
_atom_site_label
_atom_site_fract_x
_atom_site_fract_y
_atom_site_fract_z
K1 0.0000 0.0000 0.0000
K2 0.0496 0.0000 0.3787
K3 0.2134 0.0000 0.8239
In1 0.1782 0.5000 0.3418
Au1 0.0000 0.5000 0.5000
Au2 0.0495 0.5000 0.8534
Au3 0.2132 0.5000 0.6091
```

Most intense lines, 2θ = 5–70°, most intense first:
| hkl | two_theta | d (Å) | I (rel.) |
| --- | --- | --- | --- |
| 1 1 0 | 19.83 | 4.477 | 1000 |
| 5 1 -1 | 35.41 | 2.535 | 920 |
| 0 0 1 | 9.29 | 9.521 | 860 |
| 2 0 -3 | 21.42 | 4.147 | 841 |
| 3 1 -3 | 28.22 | 3.162 | 663 |
| 1 1 -3 | 30.46 | 2.934 | 641 |
| 0 2 0 | 37.59 | 2.393 | 491 |
| 2 2 -3 | 43.66 | 2.073 | 457 |
| 7 1 -4 | 42.15 | 2.144 | 410 |
| 5 1 0 | 40.32 | 2.237 | 320 |
| 2 0 -4 | 30.08 | 2.971 | 314 |
| 3 1 3 | 49.81 | 1.831 | 314 |